Computed powder diffractogram
Compound: Tb3Sm5
Radiation: Cu Kα (weighted mean of Kα1 and Kα2)
Structure: a structure optimized by DFT (GGA-PBE)

Peak list (7 most intense, 10° ≤ 2θ ≤ 80°, low angle first)
d 2.941, rel. 100; d 2.547, rel. 51; d 1.801, rel. 36; d 1.536, rel. 43; d 1.470, rel. 12; d 1.274, rel. 4; d 1.272, rel. 2

Cell and atoms:
Unit cell a=5.088 b=5.096 c=10.190 alpha=90.00 beta=90.00 gamma=90.00
Fractional positions:
Tb (0.000, 0.000, 0.000)
Tb (0.000, 0.500, 0.249)
Tb (0.000, 0.500, 0.751)
Sm (0.000, 0.000, 0.500)
Sm (0.500, 0.000, 0.249)
Sm (0.500, 0.000, 0.751)
Sm (0.500, 0.500, 0.000)
Sm (0.500, 0.500, 0.500)



Computed powder diffractogram
Compound: Pm3Cu7Ni2
Radiation: Cu Kα (weighted mean of Kα1 and Kα2)
Structure: a structure optimized by DFT (GGA-PBE)

Peak list (10 most intense, 10° ≤ 2θ ≤ 80°, low angle first)
d 2.826, rel. 47; d 2.598, rel. 38; d 2.568, rel. 47; d 2.215, rel. 41; d 2.200, rel. 100; d 2.135, rel. 15; d 2.040, rel. 15; d 1.413, rel. 15; d 1.400, rel. 22; d 1.284, rel. 22

Cell and atoms:
Unit cell a=9.038 b=9.038 c=9.038 alpha=33.01 beta=33.01 gamma=33.01
Fractional positions:
Pm (0.000, 0.000, 0.000)
Pm (0.141, 0.141, 0.141)
Pm (0.859, 0.859, 0.859)
Cu (0.080, 0.579, 0.579)
Cu (0.421, 0.421, 0.920)
Cu (0.421, 0.920, 0.421)
Cu (0.500, 0.500, 0.500)
Cu (0.579, 0.080, 0.579)
Cu (0.579, 0.579, 0.080)
Cu (0.920, 0.421, 0.421)
Ni (0.333, 0.333, 0.333)
Ni (0.667, 0.667, 0.667)



Computed powder diffractogram
Compound: Zn2CrNi8
Radiation: Cu Kα (weighted mean of Kα1 and Kα2)
Structure: a structure optimized by DFT (GGA-PBE)

Peak list (10 most intense, 10° ≤ 2θ ≤ 80°, low angle first)
d 3.624, rel. 8; d 2.891, rel. 12; d 2.299, rel. 15; d 2.027, rel. 100; d 1.993, rel. 84; d 1.928, rel. 35; d 1.896, rel. 41; d 1.502, rel. 17; d 1.352, rel. 22; d 1.208, rel. 8

Cell and atoms:
Unit cell a=6.011 b=6.011 c=3.792 alpha=90.00 beta=90.00 gamma=105.84
Fractional positions:
Zn (0.125, 0.875, 0.000)
Zn (0.875, 0.125, 0.000)
Cr (0.500, 0.500, 0.500)
Ni (0.173, 0.173, 0.500)
Ni (0.204, 0.462, 0.000)
Ni (0.261, 0.739, 0.500)
Ni (0.462, 0.204, 0.000)
Ni (0.538, 0.796, 0.000)
Ni (0.739, 0.261, 0.500)
Ni (0.796, 0.538, 0.000)
Ni (0.827, 0.827, 0.500)



Computed powder diffractogram
Compound: Tb5Dy3Tm3
Radiation: Cu Kα (weighted mean of Kα1 and Kα2)
Structure: a structure optimized by DFT (GGA-PBE)

Peak list (10 most intense, 10° ≤ 2θ ≤ 80°, low angle first)
d 3.612, rel. 36; d 3.185, rel. 85; d 2.904, rel. 98; d 2.758, rel. 32; d 2.650, rel. 100; d 2.481, rel. 77; d 2.146, rel. 79; d 1.845, rel. 37; d 1.443, rel. 41; d 1.435, rel. 31

Cell and atoms:
Unit cell a=11.034 b=11.034 c=3.415 alpha=90.00 beta=90.00 gamma=120.00
Fractional positions:
Tb (0.000, 0.160, 0.000)
Tb (0.160, 0.000, 0.000)
Tb (0.333, 0.667, 0.000)
Tb (0.667, 0.333, 0.000)
Tb (0.840, 0.840, 0.000)
Dy (0.000, 0.658, 0.000)
Dy (0.342, 0.342, 0.000)
Dy (0.658, 0.000, 0.000)
Tm (0.000, 0.407, 0.500)
Tm (0.407, 0.000, 0.500)
Tm (0.593, 0.593, 0.500)



Computed powder diffractogram
Compound: Tb2ZnGa8
Radiation: Cu Kα (weighted mean of Kα1 and Kα2)
Structure: a structure optimized by DFT (GGA-PBE)

Peak list (10 most intense, 10° ≤ 2θ ≤ 80°, low angle first)
d 4.423, rel. 20; d 2.829, rel. 12; d 2.721, rel. 37; d 2.383, rel. 100; d 2.211, rel. 70; d 1.563, rel. 38; d 1.356, rel. 8; d 1.308, rel. 28; d 1.276, rel. 10; d 1.262, rel. 12

Cell and atoms:
Unit cell a=4.423 b=4.423 c=11.039 alpha=90.00 beta=90.00 gamma=90.00
Fractional positions:
Tb (0.000, 0.000, 0.191)
Tb (0.000, 0.000, 0.809)
Zn (0.000, 0.000, 0.500)
Ga (0.000, 0.500, 0.000)
Ga (0.000, 0.500, 0.374)
Ga (0.000, 0.500, 0.626)
Ga (0.500, 0.000, 0.000)
Ga (0.500, 0.000, 0.374)
Ga (0.500, 0.000, 0.626)
Ga (0.500, 0.500, 0.196)
Ga (0.500, 0.500, 0.804)



Computed powder diffractogram
Compound: CaB4H20N2
Radiation: Cu Kα (weighted mean of Kα1 and Kα2)
Structure: a structure optimized by DFT (GGA-PBE)

Peak list (10 most intense, 10° ≤ 2θ ≤ 80°, low angle first)
d 5.307, rel. 76; d 4.107, rel. 46; d 4.061, rel. 43; d 3.542, rel. 100; d 3.364, rel. 25; d 2.888, rel. 70; d 2.245, rel. 42; d 2.231, rel. 32; d 2.191, rel. 21; d 1.770, rel. 28

Cell and atoms:
Unit cell a=8.213 b=7.859 c=7.859 alpha=117.76 beta=90.00 gamma=90.00
Fractional positions:
Ca (0.000, 0.000, 0.000)
Ca (0.500, 0.500, 0.500)
B (0.054, 0.128, 0.711)
B (0.227, 0.262, 0.279)
B (0.273, 0.762, 0.779)
B (0.446, 0.628, 0.211)
B (0.554, 0.211, 0.628)
B (0.727, 0.779, 0.762)
B (0.773, 0.279, 0.262)
B (0.946, 0.711, 0.128)
H (0.047, 0.808, 0.419)
H (0.068, 0.723, 0.045)
H (0.089, 0.579, 0.271)
H (0.094, 0.363, 0.639)
H (0.131, 0.739, 0.725)
H (0.137, 0.023, 0.573)
H (0.137, 0.187, 0.857)
H (0.148, 0.296, 0.166)
H (0.178, 0.117, 0.285)
H (0.213, 0.401, 0.440)
H (0.287, 0.901, 0.940)
H (0.322, 0.617, 0.785)
H (0.352, 0.796, 0.666)
H (0.363, 0.523, 0.073)
H (0.363, 0.687, 0.357)
H (0.369, 0.239, 0.225)
H (0.406, 0.863, 0.139)
H (0.411, 0.079, 0.771)
H (0.432, 0.223, 0.545)
H (0.453, 0.308, 0.919)
H (0.547, 0.919, 0.308)
H (0.568, 0.545, 0.223)
H (0.589, 0.771, 0.079)
H (0.594, 0.139, 0.863)
H (0.631, 0.225, 0.239)
H (0.637, 0.073, 0.523)
H (0.637, 0.357, 0.687)
H (0.648, 0.666, 0.796)
H (0.678, 0.785, 0.617)
H (0.713, 0.940, 0.901)
H (0.787, 0.440, 0.401)
H (0.822, 0.285, 0.117)
H (0.852, 0.166, 0.296)
H (0.863, 0.573, 0.023)
H (0.863, 0.857, 0.187)
H (0.869, 0.725, 0.739)
H (0.906, 0.639, 0.363)
H (0.911, 0.271, 0.579)
H (0.932, 0.045, 0.723)
H (0.953, 0.419, 0.808)
N (0.001, 0.683, 0.308)
N (0.499, 0.183, 0.808)
N (0.501, 0.808, 0.183)
N (0.999, 0.308, 0.683)



Computed powder diffractogram
Compound: Sm2ZnCu3
Radiation: Cu Kα (weighted mean of Kα1 and Kα2)
Structure: a structure optimized by DFT (GGA-PBE)

Peak list (10 most intense, 10° ≤ 2θ ≤ 80°, low angle first)
d 3.774, rel. 17; d 2.622, rel. 100; d 2.607, rel. 50; d 2.188, rel. 26; d 2.162, rel. 50; d 1.823, rel. 15; d 1.676, rel. 26; d 1.660, rel. 12; d 1.400, rel. 12; d 1.394, rel. 23

Cell and atoms:
Unit cell a=8.648 b=8.303 c=5.695 alpha=73.67 beta=67.13 gamma=39.20
Fractional positions:
Sm (0.245, 0.755, 0.755)
Sm (0.250, 0.250, 0.250)
Sm (0.750, 0.750, 0.750)
Sm (0.755, 0.245, 0.245)
Zn (0.333, 0.333, 0.667)
Zn (0.667, 0.667, 0.333)
Cu (0.165, 0.165, 0.835)
Cu (0.166, 0.667, 0.333)
Cu (0.333, 0.834, 0.166)
Cu (0.667, 0.166, 0.834)
Cu (0.834, 0.333, 0.667)
Cu (0.835, 0.835, 0.165)



Computed powder diffractogram
Compound: Hf2Cr2Pd
Radiation: Cu Kα (weighted mean of Kα1 and Kα2)
Structure: a structure optimized by DFT (GGA-PBE)

Peak list (10 most intense, 10° ≤ 2θ ≤ 80°, low angle first)
d 2.907, rel. 29; d 2.523, rel. 87; d 2.352, rel. 100; d 2.298, rel. 18; d 2.056, rel. 29; d 2.002, rel. 26; d 1.577, rel. 19; d 1.467, rel. 21; d 1.434, rel. 18; d 1.431, rel. 19

Cell and atoms:
Unit cell a=6.500 b=6.500 c=4.004 alpha=90.00 beta=90.00 gamma=90.00
Fractional positions:
Hf (0.182, 0.318, 0.000)
Hf (0.318, 0.818, 0.000)
Hf (0.682, 0.182, 0.000)
Hf (0.818, 0.682, 0.000)
Cr (0.107, 0.607, 0.500)
Cr (0.393, 0.107, 0.500)
Cr (0.607, 0.893, 0.500)
Cr (0.893, 0.393, 0.500)
Pd (0.000, 0.000, 0.500)
Pd (0.500, 0.500, 0.500)



Computed powder diffractogram
Compound: TmSnIr
Radiation: Cu Kα (weighted mean of Kα1 and Kα2)
Structure: a structure optimized by DFT (GGA-PBE)

Peak list (10 most intense, 10° ≤ 2θ ≤ 80°, low angle first)
d 4.029, rel. 5; d 3.322, rel. 6; d 2.563, rel. 100; d 2.326, rel. 81; d 1.905, rel. 8; d 1.723, rel. 31; d 1.661, rel. 10; d 1.384, rel. 30; d 1.352, rel. 30; d 1.343, rel. 15

Cell and atoms:
Unit cell a=4.652 b=4.652 c=3.322 alpha=90.00 beta=90.00 gamma=120.00
Fractional positions:
Tm (0.000, 0.000, 0.000)
Sn (0.333, 0.667, 0.500)
Ir (0.667, 0.333, 0.500)



Computed powder diffractogram
Compound: Ca5CeSn6
Radiation: Cu Kα (weighted mean of Kα1 and Kα2)
Structure: a structure optimized by DFT (GGA-PBE)

Peak list (10 most intense, 10° ≤ 2θ ≤ 80°, low angle first)
d 4.492, rel. 19; d 2.795, rel. 100; d 2.778, rel. 99; d 2.512, rel. 74; d 2.246, rel. 27; d 1.676, rel. 22; d 1.673, rel. 22; d 1.502, rel. 30; d 1.492, rel. 15; d 1.381, rel. 17

Cell and atoms:
Unit cell a=9.115 b=9.115 c=5.708 alpha=95.25 beta=95.25 gamma=46.13
Fractional positions:
Ca (0.000, 0.000, 0.000)
Ca (0.167, 0.167, 0.673)
Ca (0.329, 0.329, 0.330)
Ca (0.671, 0.671, 0.670)
Ca (0.833, 0.833, 0.327)
Ce (0.500, 0.500, 0.000)
Sn (0.085, 0.586, 0.830)
Sn (0.250, 0.750, 0.500)
Sn (0.414, 0.915, 0.170)
Sn (0.586, 0.085, 0.830)
Sn (0.750, 0.250, 0.500)
Sn (0.915, 0.414, 0.170)



Computed powder diffractogram
Compound: DyThAl4
Radiation: Cu Kα (weighted mean of Kα1 and Kα2)
Structure: a structure optimized by DFT (GGA-PBE)

Peak list (10 most intense, 10° ≤ 2θ ≤ 80°, low angle first)
d 4.118, rel. 57; d 3.800, rel. 30; d 3.268, rel. 57; d 2.810, rel. 100; d 2.478, rel. 42; d 2.139, rel. 29; d 1.936, rel. 21; d 1.790, rel. 21; d 1.619, rel. 23; d 1.332, rel. 21

Cell and atoms:
Unit cell a=8.179 b=8.179 c=8.179 alpha=149.68 beta=149.68 gamma=43.41
Fractional positions:
Dy (0.000, 0.000, 0.000)
Th (0.250, 0.750, 0.500)
Al (0.418, 0.418, 0.000)
Al (0.582, 0.582, 0.000)
Al (0.667, 0.167, 0.500)
Al (0.833, 0.333, 0.500)



Computed powder diffractogram
Compound: AcLa4Ho2Tm
Radiation: Cu Kα (weighted mean of Kα1 and Kα2)
Structure: a structure optimized by DFT (GGA-PBE)

Peak list (10 most intense, 10° ≤ 2θ ≤ 80°, low angle first)
d 3.013, rel. 100; d 2.626, rel. 34; d 2.577, rel. 16; d 1.857, rel. 12; d 1.839, rel. 24; d 1.582, rel. 15; d 1.579, rel. 15; d 1.560, rel. 7; d 1.559, rel. 7; d 1.507, rel. 13

Cell and atoms:
Unit cell a=6.354 b=6.354 c=10.518 alpha=114.47 beta=114.47 gamma=48.76
Fractional positions:
Ac (0.000, 0.000, 0.000)
La (0.246, 0.246, 0.868)
La (0.252, 0.252, 0.378)
La (0.748, 0.748, 0.622)
La (0.754, 0.754, 0.132)
Ho (0.499, 0.499, 0.257)
Ho (0.501, 0.501, 0.743)
Tm (0.000, 0.000, 0.500)